Theoretical powder XRD pattern of AcMnO4 for copper Kα, from a GGA+U-relaxed structure.

Main lines, by intensity (5 to 70 degrees two-theta):
- 2θ 23.20, I 100
- 2θ 31.40, I 75
- 2θ 46.22, I 61
- 2θ 17.58, I 49
- 2θ 33.04, I 27
- 2θ 29.26, I 23
- 2θ 57.98, I 18
- 2θ 44.70, I 17
- 2θ 37.66, I 16
- 2θ 68.37, I 16

Structural model:
```
12
Lattice="-3.835 3.835 3.348 3.835 -3.835 3.348 3.835 3.835 -3.348" Properties=species:S:1:pos:R:3 pbc="T T T"
Ac 3.835 1.917 0.837
Ac 0.000 1.917 2.511
Mn 3.835 -1.917 2.511
Mn 0.000 5.752 0.837
O 3.835 -0.591 1.412
O 3.835 3.243 -1.412
O 1.326 1.917 0.262
O 2.509 -1.917 3.610
O 1.326 5.752 -0.262
O 2.509 1.917 3.086
O 0.000 0.591 4.760
O 0.000 4.426 1.936
```